This entry pairs a crystal structure of HfP2H6O10 with its calculated XRD peak list. Radiation: Cu Kα, 1.54184 Å. Structure: a GGA-PBE-relaxed structure.
Peak positions follow from Bragg's law for the DFT cell and can differ from measured ones.

Largest 8 diffraction maxima, in order of falling intensity, 5 to 70 degrees two-theta:
index, 2theta, Rel. int.
0 0 1, 7.14, 100.0
0 1 1, 15.15, 50.2
1 0 2, 23.61, 22.1
0 2 0, 26.87, 21.4
1 0 -3, 25.13, 21.1
1 0 -2, 20.19, 21.0
0 1 2, 19.61, 18.7
1 0 1, 19.07, 17.1

Atomic structure:
Cell lengths 5.4137, 6.6364, 12.5312 Å; angles 90.00, 98.93, 90.00 degrees
Atoms (fractional coordinates):
1 Hf 0.2006 0.0000 0.3748
2 Hf 0.7994 0.5000 0.6252
3 P 0.2401 0.4995 0.4417
4 P 0.3474 0.5783 0.8016
5 P 0.6526 0.0783 0.1984
6 P 0.7599 0.9995 0.5583
7 H 0.0088 0.1392 0.9752
8 H 0.0478 0.0789 0.0986
9 H 0.1329 0.4033 0.1156
10 H 0.1668 0.5636 0.2109
11 H 0.4038 0.0370 0.0505
12 H 0.4889 0.8945 0.8269
13 H 0.5111 0.3945 0.1731
14 H 0.5962 0.5370 0.9495
15 H 0.8332 0.0636 0.7891
16 H 0.8671 0.9033 0.8844
17 H 0.9522 0.5789 0.9014
18 H 0.9912 0.6392 0.0248
19 O 0.0604 0.5015 0.5261
20 O 0.0792 0.5060 0.7661
21 O 0.1257 0.1527 0.0443
22 O 0.1948 0.6861 0.3670
23 O 0.1959 0.3100 0.3709
24 O 0.2089 0.5345 0.1389
25 O 0.3306 0.8161 0.8072
26 O 0.4226 0.4897 0.9188
27 O 0.4625 0.0119 0.2692
28 O 0.4875 0.0012 0.4995
29 O 0.5125 0.5012 0.5005
30 O 0.5375 0.5119 0.7308
31 O 0.5774 0.9897 0.0812
32 O 0.6694 0.3161 0.1928
33 O 0.7911 0.0345 0.8611
34 O 0.8041 0.8100 0.6291
35 O 0.8052 0.1861 0.6330
36 O 0.8743 0.6527 0.9557
37 O 0.9208 0.0060 0.2339
38 O 0.9396 0.0015 0.4739